Record 1
The following is a computed powder diffraction line list of Al2O3. It was derived from a PBE-relaxed structure, using λ = 1.5418 Å (Cu Kα).
Neutral-atom scattering factors, no anomalous dispersion.

Cell and atoms:
Cell lengths 8.9765, 8.9765, 8.9765 Å; angles 90.00, 90.00, 90.00 degrees
Space group Ia-3 (No. 206)
One atom of each set of equivalent atoms:
Al 0.0000 0.2500 0.4622 x24
Al 0.2500 0.2500 0.2500 x8
O 0.1111 0.1597 0.6137 x48

Most intense lines, 2θ from 15° to 90°, by angle:
2θ/deg, I (rel.), (hkl)
24.3, 24, 2 1 1
34.6, 100, 2 2 2
37.5, 9, 3 2 1
47.5, 27, 3 3 2
51.9, 16, 4 1 3
56.1, 7, 5 1 2
58.1, 66, 4 4 0
63.9, 8, 6 1 1
67.6, 10, 5 1 4
69.5, 22, 6 2 2
71.2, 9, 6 1 3
78.3, 9, 7 2 1



Record 2
The following is a computed powder diffraction line list of Fe23B3C3. It was derived from a PBE-relaxed structure, using λ = 1.5418 Å (Cu Kα).
Neutral-atom scattering factors, no anomalous dispersion.

Cell and atoms:
Cell lengths 7.4478, 7.4478, 18.2378 Å; angles 90.00, 90.00, 120.00 degrees
Space group R3m (No. 160, hexagonal axes)
One atom of each set of equivalent atoms:
Fe 0.0000 0.0000 0.0051 x3
Fe 0.0000 0.0000 0.2500 x3
Fe 0.0000 0.0000 0.3815 x3
Fe 0.0000 0.0000 0.6169 x3
Fe 0.0000 0.0000 0.7502 x3
Fe 0.0088 0.3360 0.3333 x18
Fe 0.0171 0.5086 0.1295 x9
Fe 0.1087 0.5544 0.5556 x9
Fe 0.1780 0.3560 0.2077 x9
Fe 0.2185 0.4371 0.7829 x9
B 0.1839 0.3677 0.0923 x9
C 0.0373 0.5186 0.2409 x9

Most intense lines, 2θ from 15° to 90°, by angle:
2θ/deg, I (rel.), (hkl)
38.2, 24, 1 1 6
42.0, 28, 3 0 0
44.7, 100, 3 0 3
48.9, 22, 2 2 0
51.3, 27, 2 1 7
52.1, 12, 0 3 6
58.1, 7, 0 2 10
74.3, 6, 0 1 14
76.8, 21, 3 3 0
78.7, 12, 5 0 5
81.8, 5, 2 2 12
83.7, 7, 0 5 7